Diffraction record for Li4TlHg4. The XRD peak list is simulated, not measured: it uses a cell relaxed with PBE and Cu Kα (weighted mean of Kα1 and Kα2).

Structure:
Cell: 8.533 8.533 5.168 Å, 90.00 90.00 90.00°
Space group P4_2/n (No. 86, origin choice 2)
One atom of each set of equivalent atoms:
Li 0.091 0.809 0.231
Tl 0.250 0.250 0.750
Hg 0.017 0.135 0.266

Principal peaks in the range 10° ≤ 2θ ≤ 90°, sorted by position:
d/Å  I/Imax  hkl
6.034  23  1 1 0
3.070  100  1 2 1
2.698  38  3 1 0
2.584  24  0 0 2
2.492  27  3 0 1
2.152  23  2 3 1
1.908  16  4 2 0
1.866  25  3 1 2
1.570  13  1 2 3
1.535  16  4 2 2


Diffraction record for Li7TlHg3. The XRD peak list is simulated, not measured: it uses a cell relaxed with PBE and Cu Kα (weighted mean of Kα1 and Kα2).

Structure:
Cell: 3.045 27.778 10.520 Å, 90.00 90.00 90.00°
Space group Cmcm (No. 63)
One atom of each set of equivalent atoms:
Li 0.000 0.046 0.250
Li 0.000 0.048 0.512
Li 0.000 0.141 0.616
Li 0.000 0.210 0.095
Tl 0.000 0.451 0.250
Hg 0.000 0.290 0.250
Hg 0.000 0.378 0.609

Principal peaks in the range 10° ≤ 2θ ≤ 90°, sorted by position:
d/Å  I/Imax  hkl
6.944  19  0 4 0
5.260  20  0 0 2
4.237  100  0 6 1
3.400  47  0 2 3
3.027  28  1 1 0
2.896  18  0 8 2
2.588  28  1 5 1
2.460  20  0 4 4
2.355  19  1 7 1
2.292  26  1 1 3


Diffraction record for LiTmHg5. The XRD peak list is simulated, not measured: it uses a cell relaxed with PBE and Cu Kα (weighted mean of Kα1 and Kα2).

Structure:
Cell: 6.494 8.327 6.477 Å, 90.00 90.00 90.00°
Space group Cmmm (No. 65)
One atom of each set of equivalent atoms:
Li 0.000 0.000 0.000
Tm 0.000 0.500 0.500
Hg 0.000 0.500 0.000
Hg 0.250 0.250 0.256

Principal peaks in the range 10° ≤ 2θ ≤ 90°, sorted by position:
d/Å  I/Imax  hkl
5.121  27  1 1 0
3.243  12  2 0 0
2.737  11  1 1 2
2.558  100  2 2 0
2.293  37  2 0 2
2.082  14  0 4 0
1.541  22  2 4 2
1.370  15  4 2 2
1.368  16  2 2 4
1.276  12  2 6 0


Diffraction record for Li7TmHg4. The XRD peak list is simulated, not measured: it uses a cell relaxed with PBE and Cu Kα (weighted mean of Kα1 and Kα2).

Structure:
Cell: 13.983 5.019 8.509 Å, 90.00 126.80 90.00°
Space group C2/m (No. 12)
One atom of each set of equivalent atoms:
Li 0.000 0.000 0.000
Li 0.064 0.500 0.424
Li 0.203 0.000 0.656
Li 0.208 0.500 0.879
Tm 0.000 0.500 0.000
Hg 0.058 0.000 0.761
Hg 0.195 0.000 0.333

Principal peaks in the range 10° ≤ 2θ ≤ 90°, sorted by position:
d/Å  I/Imax  hkl
6.736  29  2 0 -1
4.580  32  1 1 0
3.432  32  2 0 1
3.408  73  4 0 -1
3.125  100  1 1 -2
2.510  33  0 2 0
2.355  25  3 1 1
2.343  36  5 1 -1
2.249  32  6 0 -3
1.543  18  1 3 -2